Diffraction record for Li2Cr2SiO6. The powder diffraction line list is calculated, not measured: it uses a DFT-relaxed cell (PBE+U, Alexandria) and Cu Kα (λ = 1.5418 Å).

Principal peaks in the range 2θ = 10–90°, low angle first:
2theta	intensity
19.2	100
24.3	22
32.3	21
39.1	9
43.1	29
44.5	55
55.3	8
63.7	28

Cell and atoms:
Lattice parameters (Å, degrees): 9.438 8.952 5.123 79.13 68.66 32.21
Fractional coordinates of all 22 atoms:
Li 0.034 0.034 0.716
Li 0.284 0.284 0.966
Li 0.716 0.716 0.034
Li 0.966 0.966 0.284
Cr 0.204 0.204 0.546
Cr 0.454 0.454 0.796
Cr 0.546 0.546 0.204
Cr 0.796 0.796 0.454
Si 0.375 0.375 0.375
Si 0.625 0.625 0.625
O 0.072 0.520 0.662
O 0.163 0.587 0.163
O 0.247 0.662 0.520
O 0.338 0.753 0.928
O 0.413 0.837 0.413
O 0.480 0.928 0.753
O 0.520 0.072 0.247
O 0.587 0.163 0.587
O 0.662 0.247 0.072
O 0.753 0.338 0.480
O 0.837 0.413 0.837
O 0.928 0.480 0.338